# CsGaBP2HO9
Theoretical powder diffractogram, Cu Kα. Input: a GGA-PBE-relaxed structure.
No peak broadening, texture or thermal motion is included.

Cell: 9.4939 8.8430 9.7962 Å, 90.00 104.46 90.00°
Space group P2_1/c (No. 14)
One atom of each set of equivalent atoms:
Cs (0.1961, 0.1135, 0.0547) [4 per cell]
Ga (0.1990, 0.6570, 0.9284) [4 per cell]
B (0.3448, 0.0345, 0.6961) [4 per cell]
P (0.0752, 0.5727, 0.2003) [4 per cell]
P (0.4139, 0.7282, 0.7157) [4 per cell]
H (0.3944, 0.0607, 0.5003) [4 per cell]
O (0.0692, 0.5107, 0.8118) [4 per cell]
O (0.0808, 0.6659, 0.0694) [4 per cell]
O (0.0957, 0.6703, 0.3339) [4 per cell]
O (0.2023, 0.0495, 0.7290) [4 per cell]
O (0.3138, 0.0299, 0.5385) [4 per cell]
O (0.3335, 0.6339, 0.8034) [4 per cell]
O (0.3493, 0.7128, 0.5572) [4 per cell]
O (0.4236, 0.1734, 0.7493) [4 per cell]
O (0.4286, 0.6005, 0.2610) [4 per cell]

Largest 10 diffraction maxima, in order of falling intensity, 2θ from 10° to 80°:
- 25.2 deg, I 1000, (1 2 1)
- 23.3 deg, I 618, (2 0 -2)
- 29.3 deg, I 412, (1 1 -3)
- 31.1 deg, I 306, (2 2 1)
- 19.3 deg, I 279, (2 0 0)
- 18.8 deg, I 278, (1 0 -2)
- 30.1 deg, I 277, (3 1 -1)
- 21.3 deg, I 221, (0 1 2)
- 31.9 deg, I 219, (1 3 0)
- 25.5 deg, I 196, (2 1 -2)